Structure and calculated XRD peak list of Hf2N2O (a PBE-relaxed structure; copper Kα).
Kinematic intensities with the Lorentz-polarization factor, no thermal factor.

The 6 most intense peaks (5° ≤ 2θ ≤ 70°), low angle first:
d [Å], I_rel, index
2.911, 100, 1 1 -3
2.523, 24, 2 -2 2
2.517, 13, -2 2 2
1.784, 17, 0 0 4
1.781, 17, 4 0 -4
1.520, 16, -1 3 3

Atomic structure:
```
data_Hf2N2O
_chemical_formula_sum 'Hf16 N16 O8'
_cell_length_a 8.723
_cell_length_b 8.724
_cell_length_c 8.734
_cell_angle_alpha 109.58
_cell_angle_beta 109.29
_cell_angle_gamma 109.42
_space_group_name_H-M_alt 'P 1'
_space_group_IT_number 1
_space_group_name_Hall 'P 1'
loop_
_atom_site_label
_atom_site_fract_x
_atom_site_fract_y
_atom_site_fract_z
Hf1 0.000 0.000 0.000
Hf2 0.010 0.499 0.503
Hf3 0.046 0.229 0.766
Hf4 0.218 0.682 0.971
Hf5 0.245 0.459 0.216
Hf6 0.257 0.980 0.723
Hf7 0.304 0.267 0.491
Hf8 0.472 0.720 0.687
Hf9 0.500 0.436 0.941
Hf10 0.506 0.943 0.441
Hf11 0.543 0.211 0.253
Hf12 0.716 0.176 0.972
Hf13 0.746 0.966 0.213
Hf14 0.760 0.472 0.727
Hf15 0.801 0.756 0.476
Hf16 0.964 0.722 0.192
N1 0.013 0.957 0.756
N2 0.030 0.727 0.451
N3 0.217 0.463 0.454
N4 0.241 0.195 0.674
N5 0.301 0.483 0.001
N6 0.481 0.210 0.997
N7 0.482 0.932 0.175
N8 0.493 0.976 0.687
N9 0.520 0.199 0.495
N10 0.535 0.519 0.740
N11 0.717 0.702 0.193
N12 0.724 0.923 0.954
N13 0.800 0.242 0.262
N14 0.981 0.423 0.706
N15 0.984 0.249 0.992
N16 0.998 0.742 0.959
O1 0.033 0.007 0.272
O2 0.226 0.709 0.241
O3 0.273 0.743 0.774
O4 0.288 0.231 0.212
O5 0.531 0.695 0.459
O6 0.740 0.509 0.489
O7 0.771 0.436 0.964
O8 0.784 0.011 0.498
```



Structure and calculated XRD peak list of Hf2N2O (a PBE-relaxed structure; copper Kα).
Kinematic intensities with the Lorentz-polarization factor, no thermal factor.

The 6 most intense peaks (5° ≤ 2θ ≤ 70°), low angle first:
d [Å], I_rel, index
2.924, 100, 4 0 1
2.904, 87, 1 1 1
2.849, 100, 4 0 -2
2.680, 56, 0 0 3
2.637, 94, 3 1 0
2.541, 89, 1 1 -2

Atomic structure:
```
data_Hf2N2O
_chemical_formula_sum 'Hf12 N12 O6'
_cell_length_a 13.702
_cell_length_b 3.257
_cell_length_c 8.177
_cell_angle_alpha 90.00
_cell_angle_beta 100.46
_cell_angle_gamma 90.00
_space_group_name_H-M_alt 'C 1 2/m 1'
_space_group_IT_number 12
_space_group_name_Hall '-C 2y'
loop_
_atom_site_label
_atom_site_fract_x
_atom_site_fract_y
_atom_site_fract_z
Hf1 0.030 0.000 0.309
Hf2 0.129 0.500 0.975
Hf3 0.196 0.500 0.632
N1 0.035 0.500 0.157
N2 0.127 0.000 0.785
N3 0.172 0.000 0.464
O1 0.000 0.500 0.500
O2 0.210 0.000 0.117
```



Structure and calculated XRD peak list of Hf2N2O (a PBE-relaxed structure; copper Kα).
Kinematic intensities with the Lorentz-polarization factor, no thermal factor.

The 6 most intense peaks (5° ≤ 2θ ≤ 70°), low angle first:
d [Å], I_rel, index
2.914, 100, 1 1 1
2.905, 99, 1 -3 1
2.520, 74, 2 2 -2
1.786, 22, 0 4 0
1.780, 44, 4 0 0
1.519, 19, 1 5 -3

Atomic structure:
```
data_Hf2N2O
_chemical_formula_sum 'Hf16 N16 O8'
_cell_length_a 8.709
_cell_length_b 8.722
_cell_length_c 8.731
_cell_angle_alpha 109.31
_cell_angle_beta 109.47
_cell_angle_gamma 109.41
_space_group_name_H-M_alt 'P 1'
_space_group_IT_number 1
_space_group_name_Hall 'P 1'
loop_
_atom_site_label
_atom_site_fract_x
_atom_site_fract_y
_atom_site_fract_z
Hf1 0.000 0.000 0.000
Hf2 0.007 0.507 0.507
Hf3 0.039 0.215 0.742
Hf4 0.222 0.691 0.965
Hf5 0.253 0.975 0.724
Hf6 0.262 0.486 0.233
Hf7 0.280 0.252 0.462
Hf8 0.471 0.724 0.682
Hf9 0.507 0.934 0.423
Hf10 0.508 0.429 0.929
Hf11 0.549 0.224 0.249
Hf12 0.722 0.190 0.971
Hf13 0.758 0.981 0.217
Hf14 0.771 0.478 0.720
Hf15 0.791 0.761 0.473
Hf16 0.974 0.720 0.173
N1 0.018 0.960 0.751
N2 0.030 0.004 0.261
N3 0.210 0.456 0.441
N4 0.219 0.706 0.227
N5 0.250 0.205 0.675
N6 0.269 0.748 0.759
N7 0.482 0.208 0.988
N8 0.484 0.941 0.173
N9 0.528 0.702 0.454
N10 0.722 0.926 0.939
N11 0.744 0.505 0.478
N12 0.765 0.437 0.952
N13 0.791 0.018 0.487
N14 0.805 0.246 0.248
N15 0.986 0.427 0.708
N16 0.994 0.744 0.940
O1 0.027 0.737 0.442
O2 0.292 0.234 0.204
O3 0.308 0.485 0.995
O4 0.494 0.986 0.678
O5 0.512 0.199 0.490
O6 0.530 0.519 0.728
O7 0.707 0.695 0.181
O8 0.989 0.248 0.979
```



Structure and calculated XRD peak list of Hf2N2O (a PBE-relaxed structure; copper Kα).
Kinematic intensities with the Lorentz-polarization factor, no thermal factor.

The 6 most intense peaks (5° ≤ 2θ ≤ 70°), low angle first:
d [Å], I_rel, index
2.913, 100, 1 1 -3
2.903, 32, -3 1 1
2.522, 32, -2 2 2
2.517, 18, 2 -2 2
1.784, 23, 0 0 4
1.519, 20, 1 -3 5

Atomic structure:
```
data_Hf2N2O
_chemical_formula_sum 'Hf16 N16 O8'
_cell_length_a 8.708
_cell_length_b 8.735
_cell_length_c 8.738
_cell_angle_alpha 109.53
_cell_angle_beta 109.52
_cell_angle_gamma 109.25
_space_group_name_H-M_alt 'P 1'
_space_group_IT_number 1
_space_group_name_Hall 'P 1'
loop_
_atom_site_label
_atom_site_fract_x
_atom_site_fract_y
_atom_site_fract_z
Hf1 0.000 0.000 0.000
Hf2 0.000 0.492 0.506
Hf3 0.040 0.795 0.320
Hf4 0.216 0.750 0.042
Hf5 0.250 0.539 0.289
Hf6 0.258 0.048 0.785
Hf7 0.283 0.320 0.526
Hf8 0.467 0.287 0.255
Hf9 0.498 0.077 0.575
Hf10 0.505 0.571 0.074
Hf11 0.530 0.782 0.809
Hf12 0.706 0.249 0.030
Hf13 0.761 0.045 0.297
Hf14 0.761 0.537 0.786
Hf15 0.796 0.831 0.547
Hf16 0.977 0.296 0.764
N1 0.021 0.259 0.524
N2 0.024 0.078 0.796
N3 0.202 0.263 0.246
N4 0.225 0.497 0.019
N5 0.238 0.071 0.550
N6 0.284 0.580 0.559
N7 0.303 0.811 0.325
N8 0.481 0.994 0.783
N9 0.488 0.312 0.013
N10 0.525 0.302 0.517
N11 0.717 0.272 0.295
N12 0.732 0.762 0.736
N13 0.769 0.314 0.838
N14 0.782 0.797 0.278
N15 0.982 0.780 0.061
N16 0.993 0.554 0.754
O1 0.012 0.762 0.558
O2 0.268 0.003 0.028
O3 0.479 0.814 0.045
O4 0.512 0.529 0.826
O5 0.525 0.570 0.335
O6 0.704 0.024 0.512
O7 0.798 0.044 0.064
O8 0.981 0.507 0.245
```



Structure and calculated XRD peak list of Hf2N2O (a PBE-relaxed structure; copper Kα).
Kinematic intensities with the Lorentz-polarization factor, no thermal factor.

The 6 most intense peaks (5° ≤ 2θ ≤ 70°), low angle first:
d [Å], I_rel, index
4.117, 11, 1 1 -2
2.911, 100, -3 1 1
2.521, 37, 2 -2 2
1.978, 10, 0 4 -3
1.783, 34, 4 -4 0
1.520, 23, 3 -1 3

Atomic structure:
```
data_Hf2N2O
_chemical_formula_sum 'Hf16 N16 O8'
_cell_length_a 8.730
_cell_length_b 8.730
_cell_length_c 8.733
_cell_angle_alpha 109.41
_cell_angle_beta 109.53
_cell_angle_gamma 109.44
_space_group_name_H-M_alt 'P 1'
_space_group_IT_number 1
_space_group_name_Hall 'P 1'
loop_
_atom_site_label
_atom_site_fract_x
_atom_site_fract_y
_atom_site_fract_z
Hf1 0.000 0.000 0.000
Hf2 0.000 0.498 0.501
Hf3 0.034 0.740 0.273
Hf4 0.218 0.956 0.745
Hf5 0.252 0.204 0.449
Hf6 0.254 0.705 0.961
Hf7 0.295 0.529 0.245
Hf8 0.475 0.247 0.211
Hf9 0.509 0.997 0.490
Hf10 0.516 0.493 0.004
Hf11 0.535 0.746 0.790
Hf12 0.724 0.447 0.744
Hf13 0.746 0.271 0.028
Hf14 0.763 0.780 0.529
Hf15 0.783 0.021 0.239
Hf16 0.958 0.230 0.706
N1 0.018 0.037 0.772
N2 0.226 0.264 0.231
N3 0.264 0.761 0.222
N4 0.278 0.732 0.720
N5 0.466 0.216 0.946
N6 0.510 0.227 0.461
N7 0.535 0.759 0.038
N8 0.547 0.526 0.266
N9 0.731 0.979 0.449
N10 0.735 0.254 0.270
N11 0.741 0.214 0.765
N12 0.762 0.020 0.977
N13 0.776 0.535 0.027
N14 0.958 0.717 0.479
N15 0.971 0.503 0.734
N16 0.997 0.950 0.226
O1 0.040 0.478 0.257
O2 0.057 0.268 0.512
O3 0.230 0.444 0.960
O4 0.242 0.954 0.006
O5 0.278 0.004 0.543
O6 0.455 0.456 0.719
O7 0.491 0.747 0.528
O8 0.770 0.713 0.751
```



Structure and calculated XRD peak list of Hf2N2O (a PBE-relaxed structure; copper Kα).
Kinematic intensities with the Lorentz-polarization factor, no thermal factor.

The 6 most intense peaks (5° ≤ 2θ ≤ 70°), low angle first:
d [Å], I_rel, index
2.919, 33, 1 1 1
2.909, 100, -3 1 1
2.521, 50, -2 2 2
1.785, 22, 0 4 0
1.780, 23, 4 0 -4
1.520, 19, -3 1 5

Atomic structure:
```
data_Hf2N2O
_chemical_formula_sum 'Hf16 N16 O8'
_cell_length_a 8.724
_cell_length_b 8.727
_cell_length_c 8.727
_cell_angle_alpha 109.38
_cell_angle_beta 109.33
_cell_angle_gamma 109.48
_space_group_name_H-M_alt 'P 1'
_space_group_IT_number 1
_space_group_name_Hall 'P 1'
loop_
_atom_site_label
_atom_site_fract_x
_atom_site_fract_y
_atom_site_fract_z
Hf1 0.000 0.000 0.000
Hf2 0.003 0.518 0.503
Hf3 0.027 0.287 0.740
Hf4 0.206 0.748 0.954
Hf5 0.236 0.964 0.698
Hf6 0.247 0.474 0.213
Hf7 0.279 0.247 0.522
Hf8 0.446 0.207 0.229
Hf9 0.479 0.489 0.970
Hf10 0.489 0.989 0.480
Hf11 0.525 0.782 0.743
Hf12 0.711 0.758 0.459
Hf13 0.736 0.032 0.271
Hf14 0.750 0.537 0.787
Hf15 0.784 0.255 0.031
Hf16 0.961 0.710 0.240
N1 0.000 0.773 0.033
N2 0.035 0.506 0.260
N3 0.221 0.240 0.262
N4 0.223 0.965 0.442
N5 0.232 0.017 0.956
N6 0.250 0.228 0.758
N7 0.266 0.729 0.726
N8 0.267 0.546 0.007
N9 0.451 0.727 0.459
N10 0.463 0.961 0.219
N11 0.485 0.534 0.748
N12 0.716 0.449 0.978
N13 0.753 0.989 0.024
N14 0.769 0.033 0.536
N15 0.942 0.484 0.710
N16 0.956 0.738 0.500
O1 0.024 0.260 0.473
O2 0.514 0.467 0.231
O3 0.530 0.050 0.762
O4 0.537 0.272 0.524
O5 0.720 0.273 0.252
O6 0.727 0.772 0.217
O7 0.770 0.765 0.717
O8 0.974 0.225 0.939
```



Structure and calculated XRD peak list of Hf2N2O (a PBE-relaxed structure; copper Kα).
Kinematic intensities with the Lorentz-polarization factor, no thermal factor.

The 6 most intense peaks (5° ≤ 2θ ≤ 70°), low angle first:
d [Å], I_rel, index
2.912, 100, 1 1 1
2.906, 34, -3 1 1
2.520, 50, -2 2 2
1.784, 30, 0 4 0
1.779, 15, 4 0 -4
1.518, 16, -3 5 1

Atomic structure:
```
data_Hf2N2O
_chemical_formula_sum 'Hf16 N16 O8'
_cell_length_a 8.718
_cell_length_b 8.728
_cell_length_c 8.731
_cell_angle_alpha 109.54
_cell_angle_beta 109.28
_cell_angle_gamma 109.42
_space_group_name_H-M_alt 'P 1'
_space_group_IT_number 1
_space_group_name_Hall 'P 1'
loop_
_atom_site_label
_atom_site_fract_x
_atom_site_fract_y
_atom_site_fract_z
Hf1 0.000 0.000 0.000
Hf2 0.003 0.497 0.491
Hf3 0.037 0.814 0.278
Hf4 0.217 0.531 0.233
Hf5 0.260 0.278 0.525
Hf6 0.263 0.782 0.028
Hf7 0.288 0.029 0.820
Hf8 0.472 0.743 0.785
Hf9 0.504 0.060 0.553
Hf10 0.504 0.563 0.065
Hf11 0.528 0.307 0.269
Hf12 0.709 0.532 0.742
Hf13 0.740 0.777 0.518
Hf14 0.759 0.288 0.048
Hf15 0.787 0.025 0.311
Hf16 0.969 0.248 0.787
N1 0.019 0.053 0.259
N2 0.209 0.745 0.752
N3 0.216 0.507 0.979
N4 0.278 0.050 0.070
N5 0.297 0.818 0.301
N6 0.479 0.542 0.307
N7 0.484 0.268 0.487
N8 0.488 0.506 0.796
N9 0.513 0.310 0.012
N10 0.528 0.829 0.062
N11 0.715 0.014 0.524
N12 0.722 0.793 0.768
N13 0.744 0.238 0.261
N14 0.788 0.766 0.292
N15 0.982 0.553 0.271
N16 0.986 0.242 0.032
O1 0.031 0.023 0.750
O2 0.031 0.294 0.576
O3 0.239 0.044 0.566
O4 0.257 0.507 0.490
O5 0.522 0.007 0.781
O6 0.769 0.332 0.805
O7 0.802 0.556 0.543
O8 0.973 0.724 0.994
```



Structure and calculated XRD peak list of Hf5N5O2 (a PBE-relaxed structure; copper Kα).
Kinematic intensities with the Lorentz-polarization factor, no thermal factor.

The 6 most intense peaks (5° ≤ 2θ ≤ 70°), low angle first:
d [Å], I_rel, index
2.939, 100, 2 0 2
2.887, 74, 2 0 -3
2.720, 40, 1 1 1
2.604, 49, 4 0 -1
2.177, 32, 3 1 -2
2.101, 26, 3 1 1

Atomic structure:
```
data_Hf5N5O2
_chemical_formula_sum 'Hf10 N10 O4'
_cell_length_a 10.419
_cell_length_b 3.067
_cell_length_c 9.117
_cell_angle_alpha 90.00
_cell_angle_beta 105.47
_cell_angle_gamma 90.00
_space_group_name_H-M_alt 'C 1 2/m 1'
_space_group_IT_number 12
_space_group_name_Hall '-C 2y'
loop_
_atom_site_label
_atom_site_fract_x
_atom_site_fract_y
_atom_site_fract_z
Hf1 0.000 0.000 0.000
Hf2 0.114 0.000 0.423
Hf3 0.202 0.500 0.807
N1 0.000 0.500 0.500
N2 0.155 0.500 0.052
N3 0.239 0.500 0.352
O1 0.045 0.000 0.787
```



What is the formula in the first record?
Hf2N2O